Starting from a DFT-relaxed cell (GGA-PBE, Alexandria), the X-ray powder pattern of NaAsAu2S4 was calculated for Cu Kα.
No peak broadening, texture or thermal motion is included.

Largest 8 diffraction maxima, in order of falling intensity, 2θ = 10–90°:
2θ/deg	I/Imax
30.24	100
18.80	94
16.95	68
40.78	54
34.29	51
15.53	46
51.47	30
31.80	26

Lattice parameters (Å, degrees): 6.281 7.165 9.442 90.00 90.00 90.00
Space group I222 (No. 23)
Asymmetric unit:
Na 0.000 0.000 0.000 [2 per cell]
As 0.000 0.500 0.000 [2 per cell]
Au 0.000 0.210 0.500 [4 per cell]
S 0.195 0.313 0.861 [8 per cell]